1.
Diffraction record for Pm2TlCo2. The powder X-ray diffraction pattern is simulated, not measured: it uses a crystal structure in Alexandria, relaxed with GGA-PBE and λ = 1.5418 Å (Cu Kα).
Intensities are scaled so that the largest is 100.

Largest 10 diffraction maxima, sorted by position, 10° ≤ 2θ ≤ 80°:
| d (Å) | I/Imax |
| --- | --- |
| 3.033 | 50 |
| 2.737 | 100 |
| 2.673 | 78 |
| 2.409 | 19 |
| 2.322 | 32 |
| 1.989 | 21 |
| 1.953 | 20 |
| 1.664 | 18 |
| 1.658 | 18 |
| 1.577 | 32 |

Cell and atoms:
```
Pm2TlCo2
1.0
3.907 0.000 0.000
0.000 14.437 0.000
0.000 0.000 3.979
Pm Tl Co
4 2 4
Direct
0.000 0.138 0.000
0.000 0.862 0.000
0.500 0.362 0.000
0.500 0.638 0.000
0.000 0.500 0.500
0.500 0.000 0.500
0.000 0.290 0.500
0.000 0.710 0.500
0.500 0.210 0.500
0.500 0.790 0.500
```

---

2.
Diffraction record for Cs6Fe3I14. The powder X-ray diffraction pattern is simulated, not measured: it uses a crystal structure in Alexandria, relaxed with GGA-PBE and λ = 1.5418 Å (Cu Kα).
Intensities are scaled so that the largest is 100.

Largest 10 diffraction maxima, sorted by position, 10° ≤ 2θ ≤ 80°:
| d (Å) | I/Imax |
| --- | --- |
| 3.841 | 50 |
| 3.496 | 100 |
| 3.314 | 31 |
| 3.117 | 20 |
| 3.018 | 58 |
| 2.765 | 19 |
| 2.455 | 32 |
| 2.144 | 21 |
| 1.963 | 23 |
| 1.695 | 22 |

Cell and atoms:
```
Cs6Fe3I14
1.0
13.797 0.000 0.000
-6.898 11.948 0.000
0.000 0.000 7.306
Cs Fe I
6 3 14
Direct
0.025 0.459 0.000
0.307 0.209 0.489
0.433 0.975 0.000
0.541 0.567 0.000
0.791 0.097 0.489
0.903 0.693 0.489
0.000 0.000 0.057
0.333 0.667 0.568
0.667 0.333 0.735
0.000 0.000 0.704
0.068 0.201 0.174
0.134 0.932 0.174
0.202 0.737 0.683
0.263 0.465 0.683
0.333 0.667 0.214
0.472 0.266 0.956
0.535 0.798 0.683
0.538 0.138 0.517
0.600 0.462 0.517
0.734 0.206 0.956
0.794 0.528 0.956
0.799 0.866 0.174
0.862 0.400 0.517
```